# 1
# CsYMo2O8
Simulated powder X-ray diffraction pattern, Cu Ka. Input: a cell relaxed with GGA+U.
Neutral-atom scattering factors, no anomalous dispersion.

Largest 10 diffraction maxima, low angle first, 15 to 90 degrees two-theta:
25.2°, intensity 70.2; 27.3°, intensity 12.2; 27.6°, intensity 100.0; 28.6°, intensity 20.1; 35.1°, intensity 9.6; 43.4°, intensity 11.8; 45.2°, intensity 14.3; 45.9°, intensity 19.4; 50.2°, intensity 8.9; 51.4°, intensity 10.0

Crystal structure
```
data_CsYMo2O8
_cell_length_a 9.7897
_cell_length_b 5.1120
_cell_length_c 8.3507
_cell_angle_alpha 90.00
_cell_angle_beta 92.04
_cell_angle_gamma 90.00
_space_group_name_H-M_alt 'P 1'
_space_group_IT_number 1
loop_
_space_group_symop_operation_xyz
'x,y,z'
loop_
_atom_site_label
_atom_site_fract_x
_atom_site_fract_y
_atom_site_fract_z
Cs1 0.0000 0.0369 0.2500
Cs2 0.0000 0.9631 0.7500
Y1 0.5000 0.0001 0.2500
Y2 0.5000 0.9999 0.7500
Mo1 0.3098 0.4748 0.4921
Mo2 0.3098 0.5252 0.9921
Mo3 0.6902 0.4748 0.0079
Mo4 0.6902 0.5252 0.5079
O1 0.1449 0.3888 0.9837
O2 0.1449 0.6112 0.4837
O3 0.3214 0.2601 0.3205
O4 0.3208 0.2601 0.6645
O5 0.3208 0.7399 0.1645
O6 0.3214 0.7399 0.8205
O7 0.4333 0.2494 0.9978
O8 0.4333 0.7506 0.4978
O9 0.5667 0.2494 0.5022
O10 0.5667 0.7506 0.0022
O11 0.6786 0.2601 0.1795
O12 0.6792 0.2601 0.8355
O13 0.6792 0.7399 0.3355
O14 0.6786 0.7399 0.6795
O15 0.8551 0.3888 0.5163
O16 0.8551 0.6112 0.0163
```

# 2
# Cs8ZrMo6O24
Simulated powder X-ray diffraction pattern, Cu Ka. Input: a cell relaxed with GGA+U.
Neutral-atom scattering factors, no anomalous dispersion.

Largest 10 diffraction maxima, low angle first, 15 to 90 degrees two-theta:
24.7°, intensity 100.0; 25.4°, intensity 88.7; 26.8°, intensity 44.4; 29.8°, intensity 28.9; 33.7°, intensity 13.2; 37.7°, intensity 11.9; 40.6°, intensity 11.8; 44.0°, intensity 15.5; 46.1°, intensity 13.8; 47.1°, intensity 15.9

Crystal structure
```
data_Cs8ZrMo6O24
_cell_length_a 11.3201
_cell_length_b 11.3201
_cell_length_c 8.5753
_cell_angle_alpha 99.21
_cell_angle_beta 99.21
_cell_angle_gamma 123.46
_space_group_name_H-M_alt 'P 1'
_space_group_IT_number 1
loop_
_space_group_symop_operation_xyz
'x,y,z'
loop_
_atom_site_label
_atom_site_fract_x
_atom_site_fract_y
_atom_site_fract_z
Cs1 0.0212 0.3673 0.6101
Cs2 0.1654 0.8346 0.0000
Cs3 0.2865 0.2865 0.8579
Cs4 0.3673 0.0212 0.6101
Cs5 0.6327 0.9788 0.3899
Cs6 0.7135 0.7135 0.1421
Cs7 0.8346 0.1654 0.0000
Cs8 0.9788 0.6327 0.3899
Zr1 0.5000 0.5000 0.5000
Mo1 0.1233 0.1233 0.2977
Mo2 0.2441 0.5507 0.2210
Mo3 0.4493 0.7559 0.7790
Mo4 0.5507 0.2441 0.2210
Mo5 0.7559 0.4493 0.7790
Mo6 0.8767 0.8767 0.7023
O1 0.0424 0.8980 0.6863
O2 0.0939 0.4375 0.2950
O3 0.1020 0.9576 0.3137
O4 0.1476 0.1476 0.1038
O5 0.1885 0.4750 0.0018
O6 0.2683 0.7128 0.7235
O7 0.2872 0.7317 0.2765
O8 0.2923 0.2923 0.4622
O9 0.4086 0.5572 0.3177
O10 0.4375 0.0939 0.2950
O11 0.4428 0.5914 0.6823
O12 0.4750 0.1885 0.0018
O13 0.5250 0.8115 0.9982
O14 0.5572 0.4086 0.3177
O15 0.5625 0.9061 0.7050
O16 0.5914 0.4428 0.6823
O17 0.7077 0.7077 0.5378
O18 0.7128 0.2683 0.7235
O19 0.7317 0.2872 0.2765
O20 0.8115 0.5250 0.9982
O21 0.8524 0.8524 0.8962
O22 0.8980 0.0424 0.6863
O23 0.9061 0.5625 0.7050
O24 0.9576 0.1020 0.3137
```

# 3
# CsNbWO6
Simulated powder X-ray diffraction pattern, Cu Ka. Input: a cell relaxed with GGA+U.
Neutral-atom scattering factors, no anomalous dispersion.

Largest 10 diffraction maxima, low angle first, 15 to 90 degrees two-theta:
23.8°, intensity 38.5; 28.0°, intensity 100.0; 28.1°, intensity 82.6; 29.2°, intensity 37.1; 29.4°, intensity 36.4; 44.5°, intensity 45.6; 44.7°, intensity 16.2; 48.7°, intensity 43.7; 57.8°, intensity 16.0; 68.1°, intensity 13.9

Crystal structure
```
data_CsNbWO6
_cell_length_a 7.4734
_cell_length_b 7.4734
_cell_length_c 7.4734
_cell_angle_alpha 120.37
_cell_angle_beta 119.78
_cell_angle_gamma 89.87
_space_group_name_H-M_alt 'P 1'
_space_group_IT_number 1
loop_
_space_group_symop_operation_xyz
'x,y,z'
loop_
_atom_site_label
_atom_site_fract_x
_atom_site_fract_y
_atom_site_fract_z
Cs1 0.3760 0.1260 0.2500
Cs2 0.6240 0.8740 0.7500
Nb1 0.0000 0.5000 0.5000
Nb2 0.5000 0.5000 0.0000
W1 0.0000 0.0000 0.5000
W2 0.0000 0.5000 0.0000
O1 0.0596 0.4383 0.2425
O2 0.0595 0.8095 0.2500
O3 0.0596 0.8171 0.6213
O4 0.3042 0.1829 0.7425
O5 0.3042 0.5617 0.1213
O6 0.3117 0.5617 0.7500
O7 0.6883 0.4383 0.2500
O8 0.6958 0.4383 0.8787
O9 0.6958 0.8171 0.2575
O10 0.9404 0.1829 0.3787
O11 0.9405 0.1905 0.7500
O12 0.9404 0.5617 0.7575
```